This entry pairs a crystal structure of AcGa2Te4 with its theoretical powder XRD pattern. Radiation: λ = 1.5418 Å (Cu Kα). Structure: a cell relaxed with PBE.
Lines closer than 0.1° are merged.

Top 12 peaks for 2θ = 10–90°, low angle first:
d = 5.235 Å, 2θ = 16.9°, rel. 15.7
d = 3.348 Å, 2θ = 26.6°, rel. 20.7
d = 3.275 Å, 2θ = 27.2°, rel. 100.0
d = 2.968 Å, 2θ = 30.1°, rel. 25.6
d = 2.916 Å, 2θ = 30.7°, rel. 15.1
d = 2.655 Å, 2θ = 33.8°, rel. 13.0
d = 2.080 Å, 2θ = 43.5°, rel. 44.3
d = 1.948 Å, 2θ = 46.6°, rel. 14.8
d = 1.918 Å, 2θ = 47.4°, rel. 22.1
d = 1.877 Å, 2θ = 48.5°, rel. 12.2
d = 1.629 Å, 2θ = 56.5°, rel. 19.7
d = 1.323 Å, 2θ = 71.3°, rel. 13.8

Atomic structure:
```
AcGa2Te4
1.0
8.3955 0.0000 0.0000
0.0000 8.3955 0.0000
0.0000 0.0000 6.6954
Ac Ga Te
2 4 8
direct
0.0000 0.0000 0.0000
0.5000 0.5000 0.5000
0.0000 0.5000 0.2500
0.0000 0.5000 0.7500
0.5000 0.0000 0.2500
0.5000 0.0000 0.7500
0.1552 0.2938 0.5000
0.2062 0.6552 0.0000
0.2938 0.8448 0.5000
0.3448 0.2062 0.0000
0.6552 0.7938 0.0000
0.7062 0.1552 0.5000
0.7938 0.3448 0.0000
0.8448 0.7062 0.5000
```